No. 1
For Li2LaAg2, a crystal structure in Alexandria, relaxed with GGA-PBE gives the theoretical X-ray diffraction stick pattern in this record (λ = 1.5418 Å (Cu Kα)).

Principal peaks in the range 15° ≤ 2θ ≤ 90°, low angle first:
Position (°2θ)	intensity	index
21.91	31	2 0 0
24.53	90	2 1 0
27.71	83	0 0 1
34.97	100	3 1 0
37.35	72	2 1 1
45.19	88	3 1 1
49.42	21	3 2 1
65.43	22	5 1 1
68.84	41	3 1 2
72.11	26	4 4 1

Cell and atoms:
Unit cell a=8.1134 b=8.1134 c=3.2188 alpha=90.00 beta=90.00 gamma=90.00
Space group P4/mbm (No. 127)
Unique sites:
Li 0.1501 0.3499 0.0000 [4 per cell]
La 0.0000 0.0000 0.5000 [2 per cell]
Ag 0.1316 0.6316 0.5000 [4 per cell]

***

No. 2
For Li2La3Ag5, a crystal structure in Alexandria, relaxed with GGA-PBE gives the theoretical X-ray diffraction stick pattern in this record (λ = 1.5418 Å (Cu Kα)).

Principal peaks in the range 15° ≤ 2θ ≤ 90°, low angle first:
Position (°2θ)	intensity	index
29.07	77	2 1 1
32.49	64	2 2 1
33.18	23	4 0 0
34.23	71	4 1 0
34.60	100	3 1 1
37.23	32	4 2 0
37.58	29	3 2 1
45.57	28	0 0 2
58.21	30	4 1 2
59.52	19	5 4 1

Cell and atoms:
Unit cell a=10.7998 b=10.7998 c=3.9813 alpha=90.00 beta=90.00 gamma=90.00
Space group P4/mbm (No. 127)
Unique sites:
Li 0.1130 0.3870 0.0000 [4 per cell]
La 0.0000 0.0000 0.0000 [2 per cell]
La 0.1820 0.6820 0.0000 [4 per cell]
Ag 0.0000 0.5000 0.5000 [2 per cell]
Ag 0.0596 0.2254 0.5000 [8 per cell]

***

No. 3
For Li7La3Ag4, a crystal structure in Alexandria, relaxed with GGA-PBE gives the theoretical X-ray diffraction stick pattern in this record (λ = 1.5418 Å (Cu Kα)).

Principal peaks in the range 15° ≤ 2θ ≤ 90°, low angle first:
Position (°2θ)	intensity	index
21.12	100	0 0 2
25.47	54	3 1 -1
27.28	39	4 0 -3
27.93	62	3 1 0
30.85	44	2 0 2
32.42	40	1 1 2
32.81	95	3 1 -3
33.63	64	5 1 -2
33.80	73	6 0 -3
39.81	50	0 2 0

Cell and atoms:
Unit cell a=16.5377 b=4.5290 c=10.2801 alpha=90.00 beta=125.15 gamma=90.00
Space group C2/m (No. 12)
Unique sites:
Li 0.0000 0.0000 0.0000 [2 per cell]
Li 0.0084 0.5000 0.8065 [4 per cell]
Li 0.1535 0.0000 0.9251 [4 per cell]
Li 0.1743 0.5000 0.5088 [4 per cell]
La 0.0000 0.0000 0.5000 [2 per cell]
La 0.2056 0.5000 0.2186 [4 per cell]
Ag 0.1129 0.0000 0.3266 [4 per cell]
Ag 0.1559 0.5000 0.7692 [4 per cell]

***

No. 4
For LiLaMg2Ag2, a crystal structure in Alexandria, relaxed with GGA-PBE gives the theoretical X-ray diffraction stick pattern in this record (λ = 1.5418 Å (Cu Kα)).

Principal peaks in the range 15° ≤ 2θ ≤ 90°, low angle first:
Position (°2θ)	intensity	index
18.49	29	1 0 1
23.62	100	1 1 0
29.48	73	1 0 3
32.40	29	0 0 4
33.65	71	2 0 0
40.49	32	1 1 4
45.34	44	2 1 3
47.41	39	2 0 4
48.33	25	2 2 0
71.72	21	2 1 7

Cell and atoms:
Unit cell a=5.3266 b=5.3266 c=11.0517 alpha=90.00 beta=90.00 gamma=90.00
Space group I4/mmm (No. 139)
Unique sites:
Li 0.0000 0.0000 0.0000 [2 per cell]
La 0.0000 0.0000 0.5000 [2 per cell]
Mg 0.0000 0.5000 0.2500 [4 per cell]
Ag 0.0000 0.0000 0.2203 [4 per cell]

***

What did the fourth record say?
For LiLaMg2Ag2, a crystal structure in Alexandria, relaxed with GGA-PBE gives the theoretical X-ray diffraction stick pattern in this record (λ = 1.5418 Å (Cu Kα)).

Principal peaks in the range 15° ≤ 2θ ≤ 90°, low angle first:
Position (°2θ)	intensity	index
18.49	29	1 0 1
23.62	100	1 1 0
29.48	73	1 0 3
32.40	29	0 0 4
33.65	71	2 0 0
40.49	32	1 1 4
45.34	44	2 1 3
47.41	39	2 0 4
48.33	25	2 2 0
71.72	21	2 1 7

Cell and atoms:
Unit cell a=5.3266 b=5.3266 c=11.0517 alpha=90.00 beta=90.00 gamma=90.00
Space group I4/mmm (No. 139)
Unique sites:
Li 0.0000 0.0000 0.0000 [2 per cell]
La 0.0000 0.0000 0.5000 [2 per cell]
Mg 0.0000 0.5000 0.2500 [4 per cell]
Ag 0.0000 0.0000 0.2203 [4 per cell]